No. 1
Diffraction record for CsCoAuSeS2. The X-ray diffraction stick pattern is computed, not measured: it uses a GGA-PBE-relaxed structure and Cu Ka.
No peak broadening, texture or thermal motion is included.

```
data_CsCoAuSeS2
_space_group_name_H-M_alt 'C m c m'
_space_group_IT_number 63
_space_group_name_Hall '-C 2c 2'
_cell_length_a 3.503
_cell_length_b 17.263
_cell_length_c 9.797
_cell_angle_alpha 90.00
_cell_angle_beta 90.00
_cell_angle_gamma 90.00
loop_
_atom_site_label
_atom_site_type_symbol
_atom_site_fract_x
_atom_site_fract_y
_atom_site_fract_z
_atom_site_occupancy
Cs1 Cs 0.000 0.225 0.250 1
Co1 Co 0.000 0.500 0.000 1
Au1 Au 0.000 0.098 0.750 1
Se1 Se 0.000 0.460 0.750 1
S1 S 0.000 0.087 0.513 1
```

Most intense lines, 10° ≤ 2θ ≤ 90°, by angle:
| 2theta | I_rel | hkl |
| --- | --- | --- |
| 10.25 | 30.0 | 0 2 0 |
| 13.67 | 30.6 | 0 2 1 |
| 18.11 | 51.8 | 0 0 2 |
| 29.86 | 24.1 | 1 3 0 |
| 31.26 | 100.0 | 1 3 1 |
| 32.43 | 28.4 | 0 6 1 |
| 36.69 | 34.3 | 0 0 4 |
| 40.91 | 42.7 | 1 3 3 |
| 56.11 | 21.1 | 1 3 5 |
| 57.96 | 17.7 | 1 9 2 |

No. 2
Diffraction record for Pr2SmB2N4. The X-ray diffraction stick pattern is computed, not measured: it uses a GGA-PBE-relaxed structure and Cu Ka.
No peak broadening, texture or thermal motion is included.

```
data_Pr2SmB2N4
_space_group_name_H-M_alt 'I m m m'
_space_group_IT_number 71
_space_group_name_Hall '-I 2 2'
_cell_length_a 3.514
_cell_length_b 6.274
_cell_length_c 10.874
_cell_angle_alpha 90.00
_cell_angle_beta 90.00
_cell_angle_gamma 90.00
loop_
_atom_site_label
_atom_site_type_symbol
_atom_site_fract_x
_atom_site_fract_y
_atom_site_fract_z
_atom_site_occupancy
Pr1 Pr 0.000 0.000 0.201 1
Sm1 Sm 0.000 0.500 0.000 1
B1 B 0.000 0.356 0.500 1
N1 N 0.000 0.241 0.382 1
```

Most intense lines, 10° ≤ 2θ ≤ 90°, by angle:
| 2theta | I_rel | hkl |
| --- | --- | --- |
| 26.66 | 17.6 | 1 0 1 |
| 28.44 | 100.0 | 0 2 0 |
| 33.56 | 99.7 | 1 1 2 |
| 39.38 | 32.0 | 1 2 1 |
| 44.08 | 16.9 | 0 2 4 |
| 49.27 | 23.1 | 1 0 5 |
| 50.37 | 18.5 | 0 3 3 |
| 53.71 | 23.4 | 1 3 2 |
| 57.88 | 21.8 | 1 2 5 |
| 60.37 | 25.0 | 2 2 0 |

No. 3
Diffraction record for YPd2. The X-ray diffraction stick pattern is computed, not measured: it uses a GGA-PBE-relaxed structure and Cu Ka.
No peak broadening, texture or thermal motion is included.

```
data_YPd2
_space_group_name_H-M_alt 'I 4/m m m'
_space_group_IT_number 139
_space_group_name_Hall '-I 4 2'
_cell_length_a 3.516
_cell_length_b 3.516
_cell_length_c 9.230
_cell_angle_alpha 90.00
_cell_angle_beta 90.00
_cell_angle_gamma 90.00
loop_
_atom_site_label
_atom_site_type_symbol
_atom_site_fract_x
_atom_site_fract_y
_atom_site_fract_z
_atom_site_occupancy
Y1 Y 0.000 0.000 0.000 1
Pd1 Pd 0.000 0.000 0.332 1
```

Most intense lines, 10° ≤ 2θ ≤ 90°, by angle:
| 2theta | I_rel | hkl |
| --- | --- | --- |
| 36.13 | 61.6 | 1 1 0 |
| 38.90 | 100.0 | 1 0 3 |
| 52.01 | 21.2 | 2 0 0 |
| 60.15 | 6.8 | 0 0 6 |
| 66.81 | 39.2 | 2 1 3 |
| 72.22 | 15.5 | 1 1 6 |
| 76.65 | 6.5 | 2 2 0 |
| 83.50 | 10.5 | 2 0 6 |
| 87.78 | 9.4 | 3 1 0 |
| 89.47 | 9.1 | 3 0 3 |

No. 4
Diffraction record for GdZr. The X-ray diffraction stick pattern is computed, not measured: it uses a GGA-PBE-relaxed structure and Cu Ka.
No peak broadening, texture or thermal motion is included.

```
data_GdZr
_space_group_name_H-M_alt 'P m c 21'
_space_group_IT_number 26
_cell_length_a 5.398
_cell_length_b 10.370
_cell_length_c 5.852
_cell_angle_alpha 90.00
_cell_angle_beta 90.00
_cell_angle_gamma 90.00
loop_
_space_group_symop_operation_xyz
'x,y,z'
'-x,-y,z+1/2'
'-x,y,z'
'x,-y,z+1/2'
loop_
_atom_site_label
_atom_site_type_symbol
_atom_site_fract_x
_atom_site_fract_y
_atom_site_fract_z
_atom_site_occupancy
Gd1 Gd 0.000 0.079 0.000 1
Gd2 Gd 0.000 0.258 0.526 1
Gd3 Gd 0.500 0.257 0.162 1
Zr1 Zr 0.000 0.435 0.995 1
Zr2 Zr 0.500 0.077 0.670 1
Zr3 Zr 0.500 0.428 0.689 1
```

Most intense lines, 10° ≤ 2θ ≤ 90°, by angle:
| 2theta | I_rel | hkl |
| --- | --- | --- |
| 30.02 | 22.9 | 0 3 1 |
| 30.55 | 12.6 | 0 0 2 |
| 33.19 | 37.5 | 2 0 0 |
| 34.41 | 100.0 | 1 3 1 |
| 34.88 | 46.7 | 1 0 2 |
| 45.36 | 14.6 | 2 3 1 |
| 53.97 | 17.1 | 0 3 3 |
| 60.08 | 19.7 | 3 3 1 |
| 64.85 | 19.6 | 2 3 3 |
| 65.01 | 13.7 | 1 6 2 |

No. 5
Diffraction record for PuCl2. The X-ray diffraction stick pattern is computed, not measured: it uses a GGA-PBE-relaxed structure and Cu Ka.
No peak broadening, texture or thermal motion is included.

```
data_PuCl2
_space_group_name_H-M_alt 'P 42/m n m'
_space_group_IT_number 136
_space_group_name_Hall '-P 4n 2n'
_cell_length_a 6.731
_cell_length_b 6.731
_cell_length_c 4.044
_cell_angle_alpha 90.00
_cell_angle_beta 90.00
_cell_angle_gamma 90.00
loop_
_atom_site_label
_atom_site_type_symbol
_atom_site_fract_x
_atom_site_fract_y
_atom_site_fract_z
_atom_site_occupancy
Pu1 Pu 0.000 0.000 0.000 1
Cl1 Cl 0.205 0.205 0.500 1
```

Most intense lines, 10° ≤ 2θ ≤ 90°, by angle:
| 2theta | I_rel | hkl |
| --- | --- | --- |
| 18.64 | 100.0 | 1 1 0 |
| 25.70 | 73.9 | 1 0 1 |
| 26.48 | 21.8 | 2 0 0 |
| 37.24 | 79.4 | 2 1 1 |
| 37.80 | 24.5 | 2 2 0 |
| 42.47 | 21.4 | 3 1 0 |
| 46.28 | 28.0 | 3 0 1 |
| 48.95 | 17.0 | 1 1 2 |
| 54.11 | 16.7 | 3 2 1 |
| 61.23 | 15.9 | 4 1 1 |